TbAgTe3: theoretical powder diffraction line list (Cu Kα X-rays), based on a cell relaxed with PBE.

Top 8 peaks for 5° ≤ 2θ ≤ 70°, in order of rising 2θ:
| 2theta | I/Imax |
| --- | --- |
| 26.3 | 94 |
| 30.0 | 46 |
| 32.2 | 42 |
| 33.0 | 36 |
| 36.4 | 100 |
| 37.9 | 39 |
| 41.9 | 38 |
| 43.9 | 25 |

Crystal structure
```
TbAgTe3
1.0
4.3136 0.0000 0.0000
0.0000 6.2613 0.0000
0.0000 0.0000 10.9249
Tb Ag Te
2 2 6
Cartesian
1.0784 1.5653 1.5929
3.2352 4.6959 9.3319
1.0784 4.6959 4.9824
3.2352 1.5653 5.9424
1.0784 3.1726 7.4676
1.0784 4.6959 0.6233
1.0784 6.2192 7.4676
3.2352 0.0420 3.4573
3.2352 1.5653 10.3015
3.2352 3.0886 3.4573
```